# 1
This entry pairs a crystal structure of TiNb2PdC with its theoretical X-ray diffraction stick pattern. Radiation: copper Kα. Structure: a GGA-PBE-relaxed structure.
Peak positions follow from Bragg's law for the DFT cell and can differ from measured ones.

Cell and atoms:
Cell lengths 4.2979, 4.2979, 4.1537 Å; angles 90.00, 90.00, 90.00 degrees
Space group P4/mmm (No. 123)
Symmetry-distinct sites (fractional):
Ti (0.0000, 0.0000, 0.0000)
Nb (0.0000, 0.5000, 0.5000)
Pd (0.5000, 0.5000, 0.0000)
C (0.0000, 0.0000, 0.5000)

Main lines, sorted by position (10 to 90 degrees two-theta):
36.64 deg, I = 100.0, hkl 1 1 1; 42.05 deg, I = 37.8, hkl 2 0 0; 43.58 deg, I = 17.0, hkl 0 0 2; 60.97 deg, I = 12.0, hkl 2 2 0; 62.16 deg, I = 22.6, hkl 2 0 2; 73.28 deg, I = 24.9, hkl 3 1 1; 75.45 deg, I = 11.4, hkl 1 1 3; 77.90 deg, I = 11.4, hkl 2 2 2

# 2
This entry pairs a crystal structure of HoInGa with its theoretical X-ray diffraction stick pattern. Radiation: copper Kα. Structure: a GGA-PBE-relaxed structure.
Peak positions follow from Bragg's law for the DFT cell and can differ from measured ones.

Cell and atoms:
Cell lengths 5.2767, 8.5047, 6.1692 Å; angles 90.00, 90.00, 90.00 degrees
Space group Cmcm (No. 63)
Symmetry-distinct sites (fractional):
Ho (0.0000, 0.1609, 0.2500)
In (0.0000, 0.5000, 0.0000)
Ga (0.0000, 0.1814, 0.7500)

Main lines, sorted by position (10 to 90 degrees two-theta):
24.54 deg, I = 15.0, hkl 1 1 1; 33.98 deg, I = 41.0, hkl 2 0 0; 35.32 deg, I = 64.9, hkl 1 1 2; 35.96 deg, I = 100.0, hkl 1 3 0; 50.31 deg, I = 23.6, hkl 2 2 2; 61.68 deg, I = 12.5, hkl 3 1 2; 62.10 deg, I = 13.7, hkl 3 3 0; 71.96 deg, I = 17.6, hkl 1 3 4

# 3
This entry pairs a crystal structure of Li2TbMg2In2 with its theoretical X-ray diffraction stick pattern. Radiation: copper Kα. Structure: a GGA-PBE-relaxed structure.
Peak positions follow from Bragg's law for the DFT cell and can differ from measured ones.

Cell and atoms:
Cell lengths 8.6726, 4.7563, 7.7865 Å; angles 90.00, 105.22, 90.00 degrees
Space group C2/m (No. 12)
Symmetry-distinct sites (fractional):
Li (0.2168, 0.0000, 0.1962)
Tb (0.0000, 0.5000, 0.0000)
Mg (0.1310, 0.5000, 0.4181)
In (0.1042, 0.0000, 0.7642)

Main lines, sorted by position (10 to 90 degrees two-theta):
11.78 deg, I = 61.2, hkl 0 0 1; 23.17 deg, I = 100.0, hkl 1 1 -1; 26.97 deg, I = 65.4, hkl 2 0 1; 29.99 deg, I = 93.0, hkl 1 1 -2; 34.27 deg, I = 75.9, hkl 1 1 2; 36.54 deg, I = 89.0, hkl 3 1 -1; 36.66 deg, I = 39.3, hkl 2 0 -3; 37.83 deg, I = 42.6, hkl 0 2 0

# 4
This entry pairs a crystal structure of Ac3OsC3 with its theoretical X-ray diffraction stick pattern. Radiation: copper Kα. Structure: a GGA-PBE-relaxed structure.
Peak positions follow from Bragg's law for the DFT cell and can differ from measured ones.

Cell and atoms:
Cell lengths 9.2440, 11.4121, 5.7480 Å; angles 90.00, 90.00, 90.00 degrees
Space group Cmcm (No. 63)
Symmetry-distinct sites (fractional):
Ac (0.0000, 0.1076, 0.2500)
Ac (0.2061, 0.3788, 0.2500)
Os (0.0000, 0.2999, 0.7500)
C (0.0000, 0.1277, 0.7500)
C (0.1902, 0.3677, 0.7500)

Main lines, sorted by position (10 to 90 degrees two-theta):
29.32 deg, I = 100.0, hkl 2 2 1; 29.78 deg, I = 31.7, hkl 1 3 1; 30.04 deg, I = 14.4, hkl 3 1 0; 31.12 deg, I = 37.1, hkl 0 0 2; 31.35 deg, I = 17.6, hkl 0 4 0; 44.76 deg, I = 13.3, hkl 0 4 2; 54.26 deg, I = 19.0, hkl 2 2 3; 59.82 deg, I = 19.2, hkl 3 5 2

# 5
This entry pairs a crystal structure of Cs2CuPbI6 with its theoretical X-ray diffraction stick pattern. Radiation: copper Kα. Structure: a GGA-PBE-relaxed structure.
Peak positions follow from Bragg's law for the DFT cell and can differ from measured ones.

Cell and atoms:
Cell lengths 8.4638, 8.4638, 11.9919 Å; angles 90.00, 90.00, 90.00 degrees
Space group I4/mmm (No. 139)
Symmetry-distinct sites (fractional):
Cs (0.0000, 0.5000, 0.2500)
Cu (0.0000, 0.0000, 0.0000)
Pb (0.0000, 0.0000, 0.5000)
I (0.0000, 0.0000, 0.2369)
I (0.2362, 0.2362, 0.0000)

Main lines, sorted by position (10 to 90 degrees two-theta):
14.79 deg, I = 23.3, hkl 1 1 0; 20.98 deg, I = 24.3, hkl 2 0 0; 25.77 deg, I = 64.3, hkl 2 0 2; 29.84 deg, I = 100.0, hkl 0 0 4; 42.71 deg, I = 72.8, hkl 2 2 4; 50.55 deg, I = 26.8, hkl 2 0 6; 52.97 deg, I = 25.1, hkl 4 0 4; 78.20 deg, I = 22.6, hkl 4 0 8

# 6
This entry pairs a crystal structure of Nd2Sm3Cd6 with its theoretical X-ray diffraction stick pattern. Radiation: copper Kα. Structure: a GGA-PBE-relaxed structure.
Peak positions follow from Bragg's law for the DFT cell and can differ from measured ones.

Cell and atoms:
Cell lengths 5.0288, 5.0288, 28.6514 Å; angles 90.00, 90.00, 90.00 degrees
Space group I4/mmm (No. 139)
Symmetry-distinct sites (fractional):
Nd (0.0000, 0.0000, 0.1355)
Sm (0.0000, 0.0000, 0.3632)
Sm (0.0000, 0.0000, 0.5000)
Cd (0.0000, 0.0000, 0.2498)
Cd (0.0000, 0.5000, 0.0652)

Main lines, sorted by position (10 to 90 degrees two-theta):
25.04 deg, I = 18.0, hkl 1 1 0; 25.82 deg, I = 29.8, hkl 1 1 2; 31.37 deg, I = 21.0, hkl 1 1 6; 35.58 deg, I = 100.0, hkl 1 1 8; 35.71 deg, I = 56.8, hkl 2 0 0; 51.39 deg, I = 19.7, hkl 2 2 0; 64.07 deg, I = 41.9, hkl 3 1 8; 86.52 deg, I = 22.8, hkl 4 2 0

# 7
This entry pairs a crystal structure of Ce6Bi3Os with its theoretical X-ray diffraction stick pattern. Radiation: copper Kα. Structure: a GGA-PBE-relaxed structure.
Peak positions follow from Bragg's law for the DFT cell and can differ from measured ones.

Cell and atoms:
Cell lengths 6.0431, 8.8192, 12.8199 Å; angles 90.00, 117.87, 90.00 degrees
Space group P2_1/c (No. 14)
Symmetry-distinct sites (fractional):
Ce (0.0242, 0.1412, 0.4438)
Ce (0.3851, 0.0244, 0.2733)
Ce (0.3883, 0.6856, 0.4457)
Bi (0.0000, 0.0000, 0.0000)
Bi (0.1556, 0.1355, 0.7562)
Os (0.5000, 0.0000, 0.5000)

Main lines, sorted by position (10 to 90 degrees two-theta):
29.60 deg, I = 100.0, hkl 2 0 -2; 29.73 deg, I = 32.5, hkl 1 1 -4; 31.18 deg, I = 38.2, hkl 0 2 3; 31.58 deg, I = 43.2, hkl 0 0 4; 32.30 deg, I = 46.3, hkl 2 1 -3; 33.91 deg, I = 97.4, hkl 1 3 -1; 46.96 deg, I = 18.9, hkl 1 3 3; 47.06 deg, I = 19.9, hkl 1 3 -5